# 1
Structure and theoretical XRD peak list of ThPaCdO6 (a crystal structure in Alexandria, relaxed with PBE; Cu Kα (weighted mean of Kα1 and Kα2)).
Neutral-atom scattering factors, no anomalous dispersion.

Most intense lines, 2θ from 10° to 80°, by angle:
d [Å]  I/Imax  (hkl)
3.709  100  1 1 0
2.942  93  1 0 3
2.622  29  2 0 0
1.958  73  2 1 3
1.854  17  2 2 0
1.659  18  3 1 0
1.602  18  1 1 6
1.569  21  3 0 3
1.346  17  3 2 3
1.212  13  3 1 6

Structural model:
```
data_ThPaCdO6
_chemical_formula_sum 'Th2 Pa2 Cd2 O12'
_space_group_name_H-M_alt 'P 42 n m'
_space_group_IT_number 102
_cell_length_a 5.2447
_cell_length_b 5.2447
_cell_length_c 10.6609
_cell_angle_alpha 90.00
_cell_angle_beta 90.00
_cell_angle_gamma 90.00
loop_
_space_group_symop_operation_xyz
'x,y,z'
'-y+1/2,x+1/2,z+1/2'
'-x,-y,z'
'y+1/2,-x+1/2,z+1/2'
'-x+1/2,y+1/2,z+1/2'
'y,x,z'
'x+1/2,-y+1/2,z+1/2'
'-y,-x,z'
loop_
_atom_site_label
_atom_site_fract_x
_atom_site_fract_y
_atom_site_fract_z
Th1 0.0000 0.0000 0.0000
Pa1 0.0000 0.0000 0.3363
Cd1 0.0000 0.0000 0.6698
O1 0.1840 0.1840 0.1789
O2 0.1910 0.1910 0.4908
O3 0.2060 0.2060 0.8391
```


# 2
Structure and theoretical XRD peak list of TaFeP (a crystal structure in Alexandria, relaxed with PBE; Cu Kα (weighted mean of Kα1 and Kα2)).
Neutral-atom scattering factors, no anomalous dispersion.

Most intense lines, 2θ from 10° to 80°, by angle:
d [Å]  I/Imax  (hkl)
3.405  40  0 1 1
3.043  20  2 0 0
2.324  100  1 1 -3
2.314  54  1 1 3
2.286  20  2 0 3
2.273  28  2 1 -1
2.130  21  2 1 -2
2.120  73  2 1 2
1.995  22  2 0 -4
1.800  37  0 2 0

Structural model:
```
data_TaFeP
_chemical_formula_sum 'Ta6 Fe6 P6'
_space_group_name_H-M_alt 'P 1 21/m 1'
_space_group_IT_number 11
_cell_length_a 6.0889
_cell_length_b 3.6008
_cell_length_c 10.4835
_cell_angle_alpha 90.00
_cell_angle_beta 90.45
_cell_angle_gamma 90.00
loop_
_space_group_symop_operation_xyz
'x,y,z'
'-x,-y,-z'
'-x,y+1/2,-z'
'x,-y+1/2,z'
loop_
_atom_site_label
_atom_site_fract_x
_atom_site_fract_y
_atom_site_fract_z
Ta1 0.0218 0.2500 0.2095
Ta2 0.3497 0.7500 0.5777
Ta3 0.4746 0.7500 0.8813
Fe1 0.0110 0.2500 0.5905
Fe2 0.1442 0.2500 0.9590
Fe3 0.3607 0.7500 0.2939
P1 0.2251 0.2500 0.4160
P2 0.2265 0.7500 0.0797
P3 0.2714 0.2500 0.7492
```


# 3
Structure and theoretical XRD peak list of La3SmEr2 (a crystal structure in Alexandria, relaxed with PBE; Cu Kα (weighted mean of Kα1 and Kα2)).
Neutral-atom scattering factors, no anomalous dispersion.

Most intense lines, 2θ from 10° to 80°, by angle:
d [Å]  I/Imax  (hkl)
3.137  29  2 1 1
3.077  40  0 2 2
2.942  37  0 6 0
2.805  100  2 3 1
2.634  35  0 4 2
2.352  25  2 2 2
1.823  12  4 0 0
1.788  18  2 3 3
1.636  21  2 8 2
1.499  12  4 4 2

Structural model:
```
data_La3SmEr2
_chemical_formula_sum 'La12 Sm4 Er8'
_space_group_name_H-M_alt 'I m m a'
_space_group_IT_number 74
_space_group_name_Hall '-I 2b 2'
_cell_length_a 7.2913
_cell_length_b 17.6501
_cell_length_c 6.5653
_cell_angle_alpha 90.00
_cell_angle_beta 90.00
_cell_angle_gamma 90.00
loop_
_atom_site_label
_atom_site_fract_x
_atom_site_fract_y
_atom_site_fract_z
La1 0.0000 0.0707 0.2428
La2 0.0000 0.2500 0.4795
Sm1 0.0000 0.2500 0.9793
Er1 0.2500 0.1042 0.7500
```


# 4
Structure and theoretical XRD peak list of Cs2NaIn2S4 (a crystal structure in Alexandria, relaxed with PBE; Cu Kα (weighted mean of Kα1 and Kα2)).
Neutral-atom scattering factors, no anomalous dispersion.

Most intense lines, 2θ from 10° to 80°, by angle:
d [Å]  I/Imax  (hkl)
6.502  47  2 0 -1
3.968  71  1 1 -1
3.800  81  0 0 2
3.679  90  1 1 1
3.399  90  3 1 -1
3.251  74  4 0 -2
3.011  40  1 1 -2
2.916  100  3 1 1
2.301  54  0 2 0
1.866  50  3 1 3

Structural model:
```
data_Cs2NaIn2S4
_chemical_formula_sum 'Cs4 Na2 In4 S8'
_space_group_name_H-M_alt 'C 1 2/m 1'
_space_group_IT_number 12
_cell_length_a 16.2498
_cell_length_b 4.6020
_cell_length_c 7.9794
_cell_angle_alpha 90.00
_cell_angle_beta 107.72
_cell_angle_gamma 90.00
loop_
_space_group_symop_operation_xyz
'x,y,z'
'-x,-y,-z'
'-x,y,-z'
'x,-y,z'
'x+1/2,y+1/2,z'
'-x+1/2,-y+1/2,-z'
'-x+1/2,y+1/2,-z'
'x+1/2,-y+1/2,z'
loop_
_atom_site_label
_atom_site_fract_x
_atom_site_fract_y
_atom_site_fract_z
Cs1 0.1223 0.0000 0.0319
Na1 0.0000 0.0000 0.5000
In1 0.1640 0.5000 0.4992
S1 0.0245 0.5000 0.2718
S2 0.2089 0.0000 0.6588
```


# 5
Structure and theoretical XRD peak list of Pm4NdAl2 (a crystal structure in Alexandria, relaxed with PBE; Cu Kα (weighted mean of Kα1 and Kα2)).
Neutral-atom scattering factors, no anomalous dispersion.

Most intense lines, 2θ from 10° to 80°, by angle:
d [Å]  I/Imax  (hkl)
3.932  27  0 2 2
3.043  83  1 3 1
3.003  100  2 0 2
2.937  62  0 0 4
2.916  26  2 2 0
2.612  33  2 2 2
2.455  52  1 3 3
1.918  22  3 3 1
1.575  24  2 6 0
1.388  25  2 6 4

Structural model:
```
data_Pm4NdAl2
_chemical_formula_sum 'Pm16 Nd4 Al8'
_space_group_name_H-M_alt 'F m m m'
_space_group_IT_number 69
_space_group_name_Hall '-F 2 2'
_cell_length_a 6.9897
_cell_length_b 10.5863
_cell_length_c 11.7482
_cell_angle_alpha 90.00
_cell_angle_beta 90.00
_cell_angle_gamma 90.00
loop_
_atom_site_label
_atom_site_fract_x
_atom_site_fract_y
_atom_site_fract_z
Pm1 0.0000 0.1623 0.0000
Pm2 0.2500 0.2500 0.2500
Nd1 0.0000 0.0000 0.5000
Al1 0.0000 0.0000 0.2291
```